The following is a calculated PXRD pattern of Sm4FeSe6O. It was derived from a cell relaxed with GGA+U, using CuKα.
Kinematic intensities with the Lorentz-polarization factor, no thermal factor.

Most intense lines, 2θ = 10–90°, in order of rising 2θ:
2θ = 25.03°, 3.558 Å, intensity 66; 2θ = 31.35°, 2.854 Å, intensity 66; 2θ = 33.62°, 2.666 Å, intensity 100; 2θ = 34.98°, 2.565 Å, intensity 77; 2θ = 37.65°, 2.389 Å, intensity 57; 2θ = 38.68°, 2.328 Å, intensity 26; 2θ = 44.73°, 2.026 Å, intensity 33; 2θ = 51.39°, 1.778 Å, intensity 20; 2θ = 57.90°, 1.593 Å, intensity 20; 2θ = 63.25°, 1.470 Å, intensity 19

Structural model:
```
24
Lattice="9.5559 0.0000 0.0000 -4.7780 8.2757 0.0000 0.0000 0.0000 6.9704" Properties=species:S:1:pos:R:3 pbc="T T T"
Sm 0.0000 3.3223 0.0000
Sm -1.9008 6.6145 0.0000
Sm 0.0000 5.5171 3.8261
Sm 2.8772 1.6611 3.4852
Sm 1.9008 6.6145 0.0000
Sm 4.7780 2.7586 0.3409
Sm 6.6787 1.6611 3.4852
Sm 4.7780 4.9534 3.4852
Fe 0.0000 0.0000 2.3484
Fe 0.0000 0.0000 5.8336
Se -1.9400 4.3971 1.9948
Se 0.0000 2.0881 4.2322
Se -2.9696 7.2316 4.2322
Se 1.8083 1.0440 0.7470
Se 1.9400 4.3971 1.9948
Se 0.0000 7.7572 1.9948
Se 4.7780 0.5185 5.4800
Se 2.8380 3.8786 5.4800
Se 2.9696 7.2316 4.2322
Se 7.7476 1.0440 0.7470
Se 4.7779 6.1876 0.7470
Se 6.7179 3.8786 5.4800
O 0.0000 5.5171 6.1463
O 4.7780 2.7586 2.6611
```

=====

The following is a calculated PXRD pattern of SrFe2Se4O12. It was derived from a cell relaxed with GGA+U, using CuKα.
Kinematic intensities with the Lorentz-polarization factor, no thermal factor.

Most intense lines, 2θ = 10–90°, in order of rising 2θ:
2θ = 23.96°, 3.715 Å, intensity 100; 2θ = 27.26°, 3.272 Å, intensity 60; 2θ = 27.67°, 3.224 Å, intensity 55; 2θ = 29.65°, 3.013 Å, intensity 32; 2θ = 31.74°, 2.819 Å, intensity 89; 2θ = 32.82°, 2.729 Å, intensity 44; 2θ = 40.95°, 2.204 Å, intensity 27; 2θ = 43.17°, 2.096 Å, intensity 29; 2θ = 43.44°, 2.083 Å, intensity 28; 2θ = 48.78°, 1.867 Å, intensity 22

Structural model:
```
19
Lattice="7.2291 0.0000 0.0000 0.0000 5.4581 0.0000 -0.1884 0.0000 7.2981" Properties=species:S:1:pos:R:3 pbc="T T T"
Sr 0.0000 0.0000 0.0000
Fe -0.0942 0.0000 3.6491
Fe 3.6145 2.7290 0.0000
Se 1.4128 2.7290 2.8347
Se 2.8152 0.0000 5.6853
Se 4.2255 0.0000 1.6128
Se 5.6279 2.7290 4.4635
O 0.4560 1.3913 2.2316
O 0.4560 4.0667 2.2316
O 1.8178 0.0000 4.2915
O 2.1199 1.2812 6.6571
O 2.1199 4.1768 6.6571
O 2.7962 2.7290 1.8346
O 4.2445 2.7290 5.4635
O 4.9208 1.2812 0.6411
O 4.9208 4.1768 0.6411
O 5.2229 0.0000 3.0066
O 6.5847 1.3913 5.0665
O 6.5847 4.0667 5.0665
```

=====

The following is a calculated PXRD pattern of Tl2FeSe2O6. It was derived from a cell relaxed with GGA+U, using CuKα.
Kinematic intensities with the Lorentz-polarization factor, no thermal factor.

Most intense lines, 2θ = 10–90°, in order of rising 2θ:
2θ = 20.07°, 4.424 Å, intensity 49; 2θ = 23.82°, 3.736 Å, intensity 31; 2θ = 25.09°, 3.550 Å, intensity 26; 2θ = 27.12°, 3.288 Å, intensity 53; 2θ = 28.27°, 3.157 Å, intensity 100; 2θ = 30.18°, 2.962 Å, intensity 53; 2θ = 32.88°, 2.724 Å, intensity 88; 2θ = 36.62°, 2.454 Å, intensity 25; 2θ = 41.01°, 2.201 Å, intensity 38; 2θ = 49.28°, 1.849 Å, intensity 28

Structural model:
```
11
Lattice="4.6228 -2.9616 0.0000 4.6228 2.9616 0.0000 -2.3953 0.0000 7.0998" Properties=species:S:1:pos:R:3 pbc="T T T"
Tl 1.5929 0.0000 1.1949
Tl 5.2573 0.0000 5.9049
Fe -1.1977 0.0000 3.5499
Se 1.9618 0.0000 5.1586
Se 4.8884 0.0000 1.9412
O 0.9706 0.0000 3.7583
O 3.7991 1.3536 2.0908
O 3.0510 1.3536 5.0090
O 3.7991 -1.3536 2.0908
O 3.0510 -1.3536 5.0090
O 5.8795 0.0000 3.3415
```

=====

The following is a calculated PXRD pattern of TlFeSe2O8. It was derived from a cell relaxed with GGA+U, using CuKα.
Kinematic intensities with the Lorentz-polarization factor, no thermal factor.

Most intense lines, 2θ = 10–90°, in order of rising 2θ:
2θ = 19.60°, 4.529 Å, intensity 36; 2θ = 22.13°, 4.017 Å, intensity 84; 2θ = 28.45°, 3.137 Å, intensity 100; 2θ = 30.83°, 2.900 Å, intensity 14; 2θ = 34.29°, 2.615 Å, intensity 50; 2θ = 45.14°, 2.009 Å, intensity 30; 2θ = 46.31°, 1.961 Å, intensity 16; 2θ = 54.64°, 1.680 Å, intensity 15; 2θ = 54.91°, 1.672 Å, intensity 19; 2θ = 57.89°, 1.593 Å, intensity 28

Structural model:
```
12
Lattice="5.2299 0.0000 0.0000 -2.6149 4.5292 0.0000 0.0000 0.0000 8.6999" Properties=species:S:1:pos:R:3 pbc="T T T"
Tl 0.0000 0.0000 0.0000
Fe 0.0000 0.0000 4.3499
Se 0.0000 3.0195 6.1949
Se 2.6149 1.5097 2.5049
O -0.4479 1.4915 5.6581
O -1.0993 4.1713 5.6581
O 1.5156 0.3579 3.0418
O 0.0000 3.0195 7.8428
O 2.6149 1.5097 0.8571
O 1.5472 3.3956 5.6581
O 2.1671 3.0377 3.0418
O 4.1621 1.1336 3.0418
```

=====

The following is a calculated PXRD pattern of FeSiO4. It was derived from a cell relaxed with GGA+U, using CuKα.
Kinematic intensities with the Lorentz-polarization factor, no thermal factor.

Most intense lines, 2θ = 10–90°, in order of rising 2θ:
2θ = 15.28°, 5.798 Å, intensity 44; 2θ = 22.54°, 3.944 Å, intensity 100; 2θ = 29.17°, 3.061 Å, intensity 19; 2θ = 33.09°, 2.707 Å, intensity 22; 2θ = 33.30°, 2.691 Å, intensity 17; 2θ = 37.18°, 2.418 Å, intensity 12; 2θ = 46.02°, 1.972 Å, intensity 8; 2θ = 46.32°, 1.960 Å, intensity 16; 2θ = 53.47°, 1.714 Å, intensity 9; 2θ = 67.00°, 1.397 Å, intensity 8

Structural model:
```
12
Lattice="6.1223 0.0000 0.0000 0.0000 5.7980 0.0000 0.0000 0.0000 5.3811" Properties=species:S:1:pos:R:3 pbc="T T T"
Fe 0.0000 1.0570 0.0000
Fe 3.0612 4.7410 2.6905
Si 0.0000 4.9052 2.6907
Si 3.0612 0.8929 0.0002
O 0.0000 0.4461 3.6253
O 0.0000 5.3707 1.1128
O 1.3593 4.0263 2.9618
O 1.7018 1.7717 0.2713
O 3.0612 0.4273 3.8034
O 3.0612 5.3519 0.9348
O 4.4205 1.7717 0.2713
O 4.7630 4.0263 2.9618
```

=====

The following is a calculated PXRD pattern of FeSiO3. It was derived from a cell relaxed with GGA+U, using CuKα.
Kinematic intensities with the Lorentz-polarization factor, no thermal factor.

Most intense lines, 2θ = 10–90°, in order of rising 2θ:
2θ = 13.50°, 6.559 Å, intensity 30; 2θ = 18.98°, 4.675 Å, intensity 39; 2θ = 27.19°, 3.280 Å, intensity 40; 2θ = 28.98°, 3.081 Å, intensity 100; 2θ = 30.28°, 2.952 Å, intensity 56; 2θ = 33.97°, 2.639 Å, intensity 58; 2θ = 35.69°, 2.516 Å, intensity 53; 2θ = 41.18°, 2.192 Å, intensity 60; 2θ = 55.43°, 1.658 Å, intensity 30; 2θ = 66.03°, 1.415 Å, intensity 30

Structural model:
```
40
Lattice="9.5966 0.0000 0.0000 0.0000 9.2042 0.0000 -1.1958 0.0000 5.1722" Properties=species:S:1:pos:R:3 pbc="T T T"
Fe 1.7828 0.1185 2.4244
Fe 1.1849 4.4836 5.0105
Fe 1.8237 6.0158 2.4597
Fe 1.2258 7.7905 5.0458
Fe 7.1751 1.4137 0.1264
Fe 6.5771 3.1884 2.7125
Fe 7.2160 4.7206 0.1617
Fe 6.6181 9.0857 2.7479
Si -0.4675 1.5263 4.1885
Si 0.1304 3.0758 1.6024
Si 4.0665 1.4898 1.2899
Si 3.4686 3.1123 3.8760
Si 4.9322 6.0919 1.2962
Si 4.3343 7.7144 3.8824
Si 8.2704 6.1284 3.5698
Si 8.8683 7.6779 0.9837
O 0.8402 1.8784 0.6541
O 0.2423 2.7237 3.2402
O 0.2670 6.1053 3.9534
O 0.8650 7.7011 1.3673
O 0.3833 0.1842 3.8790
O 0.9812 4.4179 1.2929
O 3.3354 6.0756 0.9639
O 2.7375 7.7307 3.5500
O 3.3316 0.0625 1.0781
O 2.7337 4.5396 3.6642
O 3.2052 2.1077 2.5814
O 2.6073 2.4944 5.1675
O 5.7935 6.7098 0.0047
O 5.1956 7.0966 2.5908
O 5.6672 4.6646 1.5080
O 5.0693 9.1417 4.0941
O 5.6634 1.4735 1.6222
O 5.0654 3.1286 4.2083
O 7.4196 4.7863 3.8793
O 8.0175 9.0200 1.2932
O 7.5359 1.5032 3.8050
O 8.1338 3.0989 1.2189
O 8.1585 6.4805 1.9320
O 7.5606 7.3259 4.5181
```

=====

The following is a calculated PXRD pattern of Fe4SiO9. It was derived from a cell relaxed with GGA+U, using CuKα.
Kinematic intensities with the Lorentz-polarization factor, no thermal factor.

Most intense lines, 2θ = 10–90°, in order of rising 2θ:
2θ = 11.97°, 7.392 Å, intensity 100; 2θ = 22.66°, 3.925 Å, intensity 13; 2θ = 24.08°, 3.696 Å, intensity 74; 2θ = 33.49°, 2.676 Å, intensity 12; 2θ = 35.61°, 2.521 Å, intensity 20; 2θ = 35.89°, 2.502 Å, intensity 21; 2θ = 36.48°, 2.463 Å, intensity 24; 2θ = 41.53°, 2.174 Å, intensity 12; 2θ = 41.78°, 2.162 Å, intensity 18; 2θ = 61.13°, 1.516 Å, intensity 16

Structural model:
```
14
Lattice="5.2549 0.0000 0.0000 2.5759 4.6335 0.0000 0.1172 0.0128 7.3917" Properties=species:S:1:pos:R:3 pbc="T T T"
Fe 0.0000 0.0000 0.0000
Fe 0.9473 1.4294 3.1020
Fe 2.6814 1.5075 0.1055
Fe 5.4052 3.1031 7.3885
Si 3.5650 2.9895 2.9630
O 0.9825 1.4742 1.1068
O 1.9758 3.0270 6.5772
O 2.9143 4.3761 3.4748
O 2.7200 1.7058 3.4612
O 1.8726 0.0623 6.5606
O 3.5273 3.0083 1.2366
O 4.4437 1.5867 6.5370
O 5.1137 2.8707 3.4175
O 3.5812 0.0228 0.9802
```